1.
Structure and calculated powder diffraction line list of Ho2ErZn2 (a DFT-relaxed cell (PBE, Alexandria); Cu Kα X-rays).
Kinematic intensities with the Lorentz-polarization factor, no thermal factor.

Largest 10 diffraction maxima, by angle, 10° ≤ 2θ ≤ 80°:
25.1°, I = 7
26.9°, I = 15
34.2°, I = 15
35.1°, I = 100
49.9°, I = 11
51.0°, I = 7
61.8°, I = 7
63.0°, I = 14
63.5°, I = 8
74.1°, I = 6

Cell and atoms:
abc: 3.581 5.106 13.232
angles: 90.00 97.80 90.00
Space group P2_1/m (No. 11)
One atom of each set of equivalent atoms:
Ho1 0.046 0.250 0.092 [2 per cell]
Ho2 0.232 0.250 0.465 [2 per cell]
Er1 0.144 0.750 0.288 [2 per cell]
Zn1 0.360 0.750 0.720 [2 per cell]
Zn2 0.451 0.250 0.901 [2 per cell]



2.
Structure and calculated powder diffraction line list of Ho3Er6Zr (a DFT-relaxed cell (PBE, Alexandria); Cu Kα X-rays).
Kinematic intensities with the Lorentz-polarization factor, no thermal factor.

Largest 10 diffraction maxima, by angle, 10° ≤ 2θ ≤ 80°:
24.9°, I = 14
28.9°, I = 55
31.0°, I = 100
33.6°, I = 29
36.7°, I = 59
36.9°, I = 34
45.4°, I = 20
59.8°, I = 18
62.2°, I = 14
65.7°, I = 40

Cell and atoms:
abc: 4.876 11.312 11.304
angles: 90.00 90.05 90.00
Space group P2_1/c (No. 14)
One atom of each set of equivalent atoms:
Ho1 0.000 0.000 0.000 [2 per cell]
Ho2 0.000 0.148 0.352 [4 per cell]
Er1 0.000 0.147 0.647 [4 per cell]
Er2 0.499 0.000 0.215 [4 per cell]
Er3 0.500 0.215 0.000 [4 per cell]
Zr1 0.500 0.000 0.500 [2 per cell]



3.
Structure and calculated powder diffraction line list of Ho4Er8Zr (a DFT-relaxed cell (PBE, Alexandria); Cu Kα X-rays).
Kinematic intensities with the Lorentz-polarization factor, no thermal factor.

Largest 10 diffraction maxima, by angle, 10° ≤ 2θ ≤ 80°:
28.0°, I = 74
30.1°, I = 84
31.4°, I = 98
31.6°, I = 100
34.2°, I = 54
34.9°, I = 69
36.2°, I = 45
53.8°, I = 23
60.3°, I = 23
60.8°, I = 25

Cell and atoms:
abc: 7.008 7.356 8.022
angles: 95.67 99.87 91.60
Space group P-1 (No. 2)
One atom of each set of equivalent atoms:
Ho1 0.000 0.000 0.000 [1 per cell]
Ho2 0.000 0.500 0.000 [1 per cell]
Ho3 0.500 0.000 0.000 [1 per cell]
Ho4 0.500 0.500 0.000 [1 per cell]
Er1 0.164 0.182 0.675 [2 per cell]
Er2 0.190 0.676 0.663 [2 per cell]
Er3 0.307 0.301 0.313 [2 per cell]
Er4 0.308 0.738 0.269 [2 per cell]
Zr1 0.500 0.000 0.500 [1 per cell]



4.
Structure and calculated powder diffraction line list of Ho3Er8Zr (a DFT-relaxed cell (PBE, Alexandria); Cu Kα X-rays).
Kinematic intensities with the Lorentz-polarization factor, no thermal factor.

Largest 10 diffraction maxima, by angle, 10° ≤ 2θ ≤ 80°:
31.5°, I = 100
36.4°, I = 17
36.6°, I = 33
52.5°, I = 18
52.7°, I = 18
62.4°, I = 14
62.6°, I = 14
62.8°, I = 14
65.7°, I = 12
77.2°, I = 2

Cell and atoms:
abc: 9.881 9.834 7.765
angles: 90.00 108.65 90.00
Space group C2/m (No. 12)
One atom of each set of equivalent atoms:
Ho1 0.000 0.000 0.000 [2 per cell]
Ho2 0.250 0.250 0.000 [4 per cell]
Er1 0.082 0.255 0.328 [8 per cell]
Er2 0.164 0.500 0.675 [4 per cell]
Er3 0.173 0.000 0.671 [4 per cell]
Zr1 0.000 0.500 0.000 [2 per cell]



5.
Structure and calculated powder diffraction line list of Ho2Er2Zr (a DFT-relaxed cell (PBE, Alexandria); Cu Kα X-rays).
Kinematic intensities with the Lorentz-polarization factor, no thermal factor.

Largest 10 diffraction maxima, by angle, 10° ≤ 2θ ≤ 80°:
15.4°, I = 82
22.7°, I = 43
26.2°, I = 77
29.9°, I = 50
31.1°, I = 53
33.9°, I = 85
34.7°, I = 29
36.0°, I = 100
40.0°, I = 27
46.4°, I = 61

Cell and atoms:
abc: 8.453 8.462 20.626
angles: 90.00 90.00 90.00
Space group Fddd (No. 70, origin choice 2)
One atom of each set of equivalent atoms:
Ho1 0.000 0.000 0.000 [16 per cell]
Er1 0.125 0.125 0.414 [16 per cell]
Zr1 0.125 0.125 0.125 [8 per cell]



6.
Structure and calculated powder diffraction line list of Ho8Er6Zr (a DFT-relaxed cell (PBE, Alexandria); Cu Kα X-rays).
Kinematic intensities with the Lorentz-polarization factor, no thermal factor.

Largest 10 diffraction maxima, by angle, 10° ≤ 2θ ≤ 80°:
28.2°, I = 22
31.3°, I = 23
32.3°, I = 100
42.6°, I = 19
49.9°, I = 19
56.3°, I = 20
60.1°, I = 18
60.7°, I = 15
67.6°, I = 5
78.5°, I = 7

Cell and atoms:
abc: 9.6732 9.6732 5.7223
angles: 90.00 90.00 120.00
Space group P-3 (No. 147)
One atom of each set of equivalent atoms:
Ho1 0.0515 0.7810 0.2340 [6 per cell]
Ho2 0.3333 0.6667 0.2355 [2 per cell]
Er1 0.0930 0.6208 0.7459 [6 per cell]
Zr1 0.0000 0.0000 0.5000 [1 per cell]



7.
Structure and calculated powder diffraction line list of Ho2Er4Zr (a DFT-relaxed cell (PBE, Alexandria); Cu Kα X-rays).
Kinematic intensities with the Lorentz-polarization factor, no thermal factor.

Largest 10 diffraction maxima, by angle, 10° ≤ 2θ ≤ 80°:
29.4°, I = 33
29.5°, I = 16
32.3°, I = 52
33.2°, I = 100
34.0°, I = 99
52.1°, I = 44
57.7°, I = 17
59.2°, I = 19
62.6°, I = 47
63.7°, I = 16

Cell and atoms:
abc: 6.083 3.512 19.486
angles: 90.00 95.96 90.00
Space group Cm (No. 8)
One atom of each set of equivalent atoms:
Ho1 0.000 0.000 0.000 [2 per cell]
Ho2 0.097 0.000 0.292 [2 per cell]
Er1 0.196 0.000 0.585 [2 per cell]
Er2 0.214 0.500 0.145 [2 per cell]
Er3 0.285 0.000 0.851 [2 per cell]
Er4 0.313 0.500 0.437 [2 per cell]
Zr1 0.407 0.500 0.718 [2 per cell]



8.
Structure and calculated powder diffraction line list of Ho5Er8Zr (a DFT-relaxed cell (PBE, Alexandria); Cu Kα X-rays).
Kinematic intensities with the Lorentz-polarization factor, no thermal factor.

Largest 10 diffraction maxima, by angle, 10° ≤ 2θ ≤ 80°:
28.9°, I = 60
29.9°, I = 65
30.0°, I = 82
32.5°, I = 22
34.7°, I = 100
35.2°, I = 44
35.5°, I = 47
56.3°, I = 25
62.3°, I = 19
65.0°, I = 21

Cell and atoms:
abc: 9.427 9.427 9.826
angles: 90.00 90.00 90.00
Space group I-4 (No. 82)
One atom of each set of equivalent atoms:
Ho1 0.000 0.000 0.000 [2 per cell]
Ho2 0.109 0.209 0.583 [8 per cell]
Er1 0.067 0.330 0.916 [8 per cell]
Er2 0.091 0.186 0.251 [8 per cell]
Zr1 0.000 0.500 0.250 [2 per cell]



9.
Structure and calculated powder diffraction line list of Ho4Er10Zr (a DFT-relaxed cell (PBE, Alexandria); Cu Kα X-rays).
Kinematic intensities with the Lorentz-polarization factor, no thermal factor.

Largest 10 diffraction maxima, by angle, 10° ≤ 2θ ≤ 80°:
25.4°, I = 31
28.3°, I = 65
31.4°, I = 39
32.3°, I = 100
32.7°, I = 96
34.4°, I = 26
34.7°, I = 37
41.9°, I = 48
54.9°, I = 23
69.1°, I = 30

Cell and atoms:
abc: 11.073 11.073 7.662
angles: 90.00 90.00 90.00
Space group I4/mmm (No. 139)
One atom of each set of equivalent atoms:
Ho1 0.228 0.228 0.000 [8 per cell]
Er1 0.000 0.208 0.288 [16 per cell]
Er2 0.000 0.500 0.250 [4 per cell]
Zr1 0.000 0.000 0.000 [2 per cell]



10.
Structure and calculated powder diffraction line list of Er7IrI12 (a DFT-relaxed cell (PBE, Alexandria); Cu Kα X-rays).
Kinematic intensities with the Lorentz-polarization factor, no thermal factor.

Largest 10 diffraction maxima, by angle, 10° ≤ 2θ ≤ 80°:
10.4°, I = 20
11.3°, I = 42
25.0°, I = 10
28.8°, I = 100
40.8°, I = 35
41.6°, I = 35
51.4°, I = 18
59.6°, I = 11
67.0°, I = 12
68.1°, I = 13

Cell and atoms:
abc: 15.6673 15.6673 10.9471
angles: 90.00 90.00 120.00
Space group R-3 (No. 148, hexagonal axes)
One atom of each set of equivalent atoms:
Er1 0.0000 0.0000 0.0000 [3 per cell]
Er2 0.0428 0.8853 0.3640 [18 per cell]
Ir1 0.0000 0.0000 0.5000 [3 per cell]
I1 0.0183 0.4322 0.1553 [18 per cell]
I2 0.0491 0.8748 0.8378 [18 per cell]



11.
Structure and calculated powder diffraction line list of KErPbI6 (a DFT-relaxed cell (PBE, Alexandria); Cu Kα X-rays).
Kinematic intensities with the Lorentz-polarization factor, no thermal factor.

Largest 10 diffraction maxima, by angle, 10° ≤ 2θ ≤ 80°:
11.4°, I = 36
12.6°, I = 25
17.1°, I = 29
24.8°, I = 100
32.0°, I = 68
35.9°, I = 15
38.6°, I = 38
41.5°, I = 30
51.0°, I = 16
62.3°, I = 16

Cell and atoms:
abc: 8.0873 8.0873 15.4715
angles: 90.00 90.00 120.00
Space group P-31c (No. 163)
One atom of each set of equivalent atoms:
K1 0.0000 0.0000 0.0000 [2 per cell]
Er1 0.3333 0.6667 0.2500 [2 per cell]
Pb1 0.3333 0.6667 0.7500 [2 per cell]
I1 0.0210 0.3753 0.1348 [12 per cell]



12.
Structure and calculated powder diffraction line list of Er2MgI (a DFT-relaxed cell (PBE, Alexandria); Cu Kα X-rays).
Kinematic intensities with the Lorentz-polarization factor, no thermal factor.

Largest 10 diffraction maxima, by angle, 10° ≤ 2θ ≤ 80°:
15.4°, I = 23
29.3°, I = 51
31.0°, I = 27
31.7°, I = 100
34.2°, I = 34
39.1°, I = 83
51.1°, I = 33
61.0°, I = 23
61.4°, I = 29
66.2°, I = 34

Cell and atoms:
abc: 3.5718 3.5718 34.5832
angles: 90.00 90.00 120.00
Space group R-3m (No. 166, hexagonal axes)
One atom of each set of equivalent atoms:
Er1 0.0000 0.0000 0.0945 [6 per cell]
Mg1 0.0000 0.0000 0.0000 [3 per cell]
I1 0.0000 0.0000 0.5000 [3 per cell]